1.
Diffraction record for PmPaCoCl. The powder X-ray diffraction pattern is simulated, not measured: it uses a structure optimized by DFT (GGA-PBE) and CuKα.
Neutral-atom scattering factors, no anomalous dispersion.

Crystal structure
```
PmPaCoCl
1.0
1.9616 1.1325 15.4551
-1.9616 1.1325 15.4551
0.0000 -2.2651 15.4551
Pm Pa Co Cl
2 2 2 2
Direct
0.0893 0.0893 0.0893 Pm
0.9107 0.9107 0.9107 Pm
0.3096 0.3096 0.3096 Pa
0.6904 0.6904 0.6904 Pa
0.3819 0.3819 0.3819 Co
0.6181 0.6181 0.6181 Co
0.2059 0.2059 0.2059 Cl
0.7941 0.7941 0.7941 Cl
```

Main lines, low angle first (10 to 80 degrees two-theta):
2theta, d (Å), I/Imax
28.0, 3.190, 80
30.5, 2.931, 44
32.7, 2.741, 100
36.5, 2.460, 68
42.5, 2.127, 26
46.3, 1.962, 65
46.7, 1.946, 23
59.2, 1.561, 23



2.
Diffraction record for SrSnP2S8. The powder X-ray diffraction pattern is simulated, not measured: it uses a structure optimized by DFT (GGA-PBE) and CuKα.
Neutral-atom scattering factors, no anomalous dispersion.

Crystal structure
```
SrSnP2S8
1.0
5.9937 0.0000 0.0000
-2.9968 5.1907 0.0000
0.0000 0.0000 8.9383
Sr Sn P S
1 1 2 8
Direct
0.0000 0.0000 0.0000 Sr
0.0000 0.0000 0.5000 Sn
0.3333 0.6667 0.7508 P
0.6667 0.3333 0.2492 P
0.0013 0.6676 0.3110 S
0.3324 0.3337 0.3110 S
0.3333 0.6667 0.9746 S
0.3337 0.0013 0.6890 S
0.6663 0.9987 0.3110 S
0.6667 0.3333 0.0254 S
0.6676 0.6663 0.6890 S
0.9987 0.3324 0.6890 S
```

Main lines, low angle first (10 to 80 degrees two-theta):
2theta, d (Å), I/Imax
17.1, 5.191, 60
19.8, 4.488, 43
26.3, 3.387, 98
29.8, 2.997, 46
31.5, 2.841, 44
36.1, 2.489, 100
51.0, 1.791, 46
52.9, 1.730, 43



3.
Diffraction record for Rb2Cd3Pb4. The powder X-ray diffraction pattern is simulated, not measured: it uses a structure optimized by DFT (GGA-PBE) and CuKα.
Neutral-atom scattering factors, no anomalous dispersion.

Crystal structure
```
Rb2Cd3Pb4
1.0
0.0000 6.1338 7.7846
3.2419 0.0000 7.7846
3.2419 6.1338 0.0000
Rb Cd Pb
2 3 4
Direct
0.1374 0.1374 0.8626 Rb
0.8626 0.8626 0.1374 Rb
0.0000 0.0000 0.5000 Cd
0.5000 0.5000 0.0000 Cd
0.5000 0.5000 0.5000 Cd
0.1664 0.5203 0.4797 Pb
0.4797 0.8336 0.1664 Pb
0.5203 0.1664 0.8336 Pb
0.8336 0.4797 0.5203 Pb
```

Main lines, low angle first (10 to 80 degrees two-theta):
2theta, d (Å), I/Imax
14.4, 6.134, 26
26.4, 3.376, 26
27.5, 3.242, 24
31.1, 2.878, 100
33.3, 2.690, 20
34.6, 2.595, 24
36.1, 2.491, 22
50.9, 1.793, 25



4.
Diffraction record for RbNb3O8. The powder X-ray diffraction pattern is simulated, not measured: it uses a structure optimized by DFT (GGA-PBE) and CuKα.
Neutral-atom scattering factors, no anomalous dispersion.

Crystal structure
```
RbNb3O8
1.0
6.8761 -1.9089 0.0000
6.8761 1.9089 0.0000
-2.4590 0.0000 7.4888
Rb Nb O
1 3 8
Direct
0.0000 0.0000 0.0000 Rb
0.0480 0.0480 0.5622 Nb
0.2770 0.2770 0.0041 Nb
0.3287 0.3287 0.5424 Nb
0.0008 0.0008 0.3276 O
0.1455 0.1455 0.8509 O
0.1921 0.1921 0.5473 O
0.2985 0.2985 0.2999 O
0.3563 0.3563 0.8496 O
0.5113 0.5113 0.6046 O
0.7962 0.7962 0.0612 O
0.8822 0.8822 0.5867 O
```

Main lines, low angle first (10 to 80 degrees two-theta):
2theta, d (Å), I/Imax
23.8, 3.744, 90
24.3, 3.665, 100
27.3, 3.266, 44
30.2, 2.961, 34
31.2, 2.871, 48
35.3, 2.545, 29
35.7, 2.512, 27
52.6, 1.740, 26



5.
Diffraction record for TmAl3Au2. The powder X-ray diffraction pattern is simulated, not measured: it uses a structure optimized by DFT (GGA-PBE) and CuKα.
Neutral-atom scattering factors, no anomalous dispersion.

Crystal structure
```
TmAl3Au2
1.0
8.4330 -2.0844 0.0000
8.4330 2.0844 0.0000
-2.7579 0.0000 9.7441
Tm Al Au
3 9 6
Direct
0.0000 0.0000 0.0000 Tm
0.1569 0.1569 0.7060 Tm
0.8431 0.8431 0.2940 Tm
0.0409 0.0409 0.3573 Al
0.2123 0.2123 0.3827 Al
0.3295 0.3295 0.0392 Al
0.3755 0.3755 0.8024 Al
0.5000 0.5000 0.5000 Al
0.6245 0.6245 0.1976 Al
0.6705 0.6705 0.9608 Al
0.7877 0.7877 0.6173 Al
0.9591 0.9591 0.6427 Al
0.1982 0.1982 0.1231 Au
0.3558 0.3558 0.5346 Au
0.4707 0.4707 0.2129 Au
0.5293 0.5293 0.7871 Au
0.6442 0.6442 0.4654 Au
0.8018 0.8018 0.8769 Au
```

Main lines, low angle first (10 to 80 degrees two-theta):
2theta, d (Å), I/Imax
24.4, 3.644, 33
26.0, 3.429, 38
27.7, 3.218, 40
30.1, 2.973, 66
33.1, 2.705, 33
34.2, 2.619, 100
35.3, 2.544, 50
43.4, 2.084, 44



6.
Diffraction record for Ta5Co2H12. The powder X-ray diffraction pattern is simulated, not measured: it uses a structure optimized by DFT (GGA-PBE) and CuKα.
Neutral-atom scattering factors, no anomalous dispersion.

Crystal structure
```
Ta5Co2H12
1.0
4.5423 -2.5989 0.0000
4.5423 2.5989 0.0000
-0.8660 0.0000 6.1359
Ta Co H
5 2 12
Direct
0.0000 0.0000 0.0000 Ta
0.2700 0.2700 0.6770 Ta
0.3542 0.3542 0.1210 Ta
0.6458 0.6458 0.8790 Ta
0.7300 0.7300 0.3230 Ta
0.2362 0.7638 0.5000 Co
0.7638 0.2362 0.5000 Co
0.0513 0.0513 0.3492 H
0.0516 0.6042 0.8911 H
0.1406 0.5096 0.4027 H
0.3958 0.9484 0.1089 H
0.4757 0.4757 0.6546 H
0.4904 0.8594 0.5973 H
0.5096 0.1406 0.4027 H
0.5243 0.5243 0.3454 H
0.6042 0.0516 0.8911 H
0.8594 0.4904 0.5973 H
0.9484 0.3958 0.1089 H
0.9487 0.9487 0.6508 H
```

Main lines, low angle first (10 to 80 degrees two-theta):
2theta, d (Å), I/Imax
34.2, 2.622, 84
34.5, 2.598, 100
35.9, 2.503, 69
37.7, 2.384, 46
43.8, 2.066, 21
52.1, 1.757, 21
58.2, 1.585, 20
61.6, 1.505, 22



7.
Diffraction record for Y2NiPdC. The powder X-ray diffraction pattern is simulated, not measured: it uses a structure optimized by DFT (GGA-PBE) and CuKα.
Neutral-atom scattering factors, no anomalous dispersion.

Crystal structure
```
Y2NiPdC
1.0
4.9786 0.0000 0.0000
0.0000 4.9786 0.0000
0.0000 0.0000 3.6444
Y Ni Pd C
2 1 1 1
Direct
0.0000 0.5000 0.0000 Y
0.5000 0.0000 0.0000 Y
0.0000 0.0000 0.5000 Ni
0.5000 0.5000 0.5000 Pd
0.0000 0.0000 0.0000 C
```

Main lines, low angle first (10 to 80 degrees two-theta):
2theta, d (Å), I/Imax
35.5, 2.532, 100
36.1, 2.489, 54
50.1, 1.822, 10
51.9, 1.760, 18
63.2, 1.470, 20
64.5, 1.445, 34
75.0, 1.266, 12
76.5, 1.245, 5



8.
Diffraction record for AlPS6. The powder X-ray diffraction pattern is simulated, not measured: it uses a structure optimized by DFT (GGA-PBE) and CuKα.
Neutral-atom scattering factors, no anomalous dispersion.

Crystal structure
```
AlPS6
1.0
4.9516 0.0000 0.0000
0.9484 6.2753 0.0000
2.2494 -0.0249 6.2737
Al P S
1 1 6
Direct
0.0000 0.0000 0.0000 Al
0.5000 0.0000 0.5000 P
0.0902 0.1648 0.6622 S
0.1913 0.2966 0.1099 S
0.4651 0.8063 0.7977 S
0.5349 0.1937 0.2023 S
0.8087 0.7034 0.8901 S
0.9098 0.8352 0.3378 S
```

Main lines, low angle first (10 to 80 degrees two-theta):
2theta, d (Å), I/Imax
14.1, 6.275, 100
20.0, 4.429, 30
22.2, 3.998, 21
22.7, 3.921, 44
31.8, 2.810, 40
31.9, 2.801, 19
32.5, 2.758, 64
43.7, 2.072, 23



9.
Diffraction record for ScSb2TePd. The powder X-ray diffraction pattern is simulated, not measured: it uses a structure optimized by DFT (GGA-PBE) and CuKα.
Neutral-atom scattering factors, no anomalous dispersion.

Crystal structure
```
ScSb2TePd
1.0
5.1722 0.0000 0.0000
0.0000 5.1722 0.0000
0.0000 0.0000 5.3640
Sc Sb Te Pd
1 2 1 1
Direct
0.0000 0.0000 0.0000 Sc
0.0000 0.5000 0.5000 Sb
0.5000 0.0000 0.5000 Sb
0.5000 0.5000 0.0000 Te
0.5000 0.5000 0.5000 Pd
```

Main lines, low angle first (10 to 80 degrees two-theta):
2theta, d (Å), I/Imax
16.5, 5.364, 36
17.1, 5.172, 72
29.6, 3.022, 100
33.4, 2.682, 53
34.7, 2.586, 96
48.9, 1.862, 71
49.9, 1.829, 34
61.4, 1.511, 35



10.
Diffraction record for Zn2ClF3. The powder X-ray diffraction pattern is simulated, not measured: it uses a structure optimized by DFT (GGA-PBE) and CuKα.
Neutral-atom scattering factors, no anomalous dispersion.

Crystal structure
```
Zn2ClF3
1.0
6.5085 0.0000 0.0000
-3.2543 5.6366 0.0000
0.0000 0.0000 5.3793
Zn Cl F
4 2 6
Direct
0.0000 0.0000 0.0000 Zn
0.0000 0.5000 0.0000 Zn
0.5000 0.0000 0.0000 Zn
0.5000 0.5000 0.0000 Zn
0.3333 0.6667 0.2816 Cl
0.6667 0.3333 0.7184 Cl
0.1671 0.3343 0.8250 F
0.1671 0.8329 0.8250 F
0.3343 0.1671 0.1750 F
0.6657 0.8329 0.8250 F
0.8329 0.1671 0.1750 F
0.8329 0.6657 0.1750 F
```

Main lines, low angle first (10 to 80 degrees two-theta):
2theta, d (Å), I/Imax
16.5, 5.379, 100
31.8, 2.818, 20
36.0, 2.496, 75
46.7, 1.946, 47
56.6, 1.627, 21
59.3, 1.557, 18
61.3, 1.513, 16
68.9, 1.363, 10



11.
Diffraction record for Cs5HgBi2. The powder X-ray diffraction pattern is simulated, not measured: it uses a structure optimized by DFT (GGA-PBE) and CuKα.
Neutral-atom scattering factors, no anomalous dispersion.

Crystal structure
```
Cs5HgBi2
1.0
6.7214 0.0000 0.0000
-3.0778 5.9830 0.0000
-0.0767 -0.2297 22.9278
Cs Hg Bi
10 2 4
Direct
0.0035 0.4885 0.3579 Cs
0.0099 0.4954 0.1424 Cs
0.3214 0.1762 0.9495 Cs
0.3246 0.1791 0.5505 Cs
0.3721 0.1289 0.7500 Cs
0.6279 0.8711 0.2500 Cs
0.6754 0.8209 0.4495 Cs
0.6786 0.8238 0.0505 Cs
0.9901 0.5046 0.8576 Cs
0.9965 0.5115 0.6421 Cs
0.2808 0.2188 0.2500 Hg
0.7192 0.7812 0.7500 Hg
0.3417 0.1493 0.3755 Bi
0.3489 0.1567 0.1244 Bi
0.6511 0.8433 0.8756 Bi
0.6583 0.8507 0.6245 Bi
```

Main lines, low angle first (10 to 80 degrees two-theta):
2theta, d (Å), I/Imax
15.3, 5.786, 42
15.4, 5.736, 15
24.9, 3.583, 24
25.4, 3.502, 70
26.5, 3.358, 100
31.0, 2.883, 16
31.2, 2.865, 20
45.5, 1.993, 26



12.
Diffraction record for Pm7Pr3Nd2. The powder X-ray diffraction pattern is simulated, not measured: it uses a structure optimized by DFT (GGA-PBE) and CuKα.
Neutral-atom scattering factors, no anomalous dispersion.

Crystal structure
```
Pm7Pr3Nd2
1.0
6.5247 0.0000 0.0000
0.0000 3.6119 0.0000
-1.9521 0.0000 17.9209
Pm Pr Nd
7 3 2
Direct
0.0000 0.0000 0.0000 Pm
0.2247 0.5000 0.1667 Pm
0.2561 0.5000 0.4994 Pm
0.2720 0.0000 0.8343 Pm
0.7280 0.0000 0.1657 Pm
0.7439 0.5000 0.5006 Pm
0.7753 0.5000 0.8333 Pm
0.4516 0.0000 0.3389 Pr
0.5000 0.5000 0.0000 Pr
0.5484 0.0000 0.6611 Pr
0.0561 0.5000 0.6708 Nd
0.9439 0.5000 0.3292 Nd
```

Main lines, low angle first (10 to 80 degrees two-theta):
2theta, d (Å), I/Imax
29.0, 3.080, 28
29.9, 2.988, 100
30.5, 2.928, 55
32.8, 2.729, 37
33.9, 2.646, 43
48.9, 1.863, 20
51.2, 1.784, 23
59.8, 1.546, 28